1.
Structure and simulated powder diffraction line list of Tl3IrN6O12 (a crystal structure in the Materials Project, relaxed with GGA-PBE; Cu Kα (weighted mean of Kα1 and Kα2)).
Peak positions follow from Bragg's law for the DFT cell and can differ from measured ones.

Atomic structure:
```
Tl3IrN6O12
1.0
0.000 5.382 5.382
5.382 0.000 5.382
5.382 5.382 0.000
Tl Ir N O
3 1 6 12
Direct
0.000 0.000 0.000
0.250 0.250 0.250
0.750 0.750 0.750
0.500 0.500 0.500
0.313 0.313 0.687
0.313 0.687 0.313
0.313 0.687 0.687
0.687 0.313 0.313
0.687 0.313 0.687
0.687 0.687 0.313
0.086 0.500 0.500
0.086 0.500 0.914
0.086 0.914 0.500
0.500 0.086 0.500
0.500 0.086 0.914
0.500 0.500 0.086
0.500 0.500 0.914
0.500 0.914 0.086
0.500 0.914 0.500
0.914 0.086 0.500
0.914 0.500 0.086
0.914 0.500 0.500
```

Top 10 peaks for 2θ = 15–90°, low angle first:
two_theta  intensity
23.4  100
33.3  40
41.1  53
47.8  24
53.9  25
59.5  7
64.8  29
74.9  17
79.7  8
84.4  8



2.
Structure and simulated powder diffraction line list of Sr3Ir2N4 (a crystal structure in the Materials Project, relaxed with GGA-PBE; Cu Kα (weighted mean of Kα1 and Kα2)).
Peak positions follow from Bragg's law for the DFT cell and can differ from measured ones.

Atomic structure:
```
Sr3Ir2N4
1.0
6.348 0.000 0.000
0.000 9.784 0.000
0.000 0.000 9.843
Sr Ir N
12 8 16
Direct
0.116 0.162 0.077
0.116 0.338 0.423
0.250 0.000 0.395
0.250 0.500 0.105
0.384 0.662 0.423
0.384 0.838 0.077
0.616 0.162 0.923
0.616 0.338 0.577
0.750 0.000 0.605
0.750 0.500 0.895
0.884 0.662 0.577
0.884 0.838 0.923
0.074 0.250 0.750
0.250 0.000 0.718
0.250 0.500 0.782
0.426 0.750 0.750
0.574 0.250 0.250
0.750 0.000 0.282
0.750 0.500 0.218
0.926 0.750 0.250
0.001 0.576 0.337
0.001 0.924 0.163
0.098 0.632 0.885
0.098 0.868 0.615
0.402 0.132 0.615
0.402 0.368 0.885
0.499 0.076 0.163
0.499 0.424 0.337
0.501 0.576 0.663
0.501 0.924 0.837
0.598 0.632 0.115
0.598 0.868 0.385
0.902 0.132 0.385
0.902 0.368 0.115
0.999 0.076 0.837
0.999 0.424 0.663
```

Top 10 peaks for 2θ = 15–90°, low angle first:
two_theta  intensity
16.6  70
18.0  61
18.9  48
29.6  48
30.7  100
32.0  85
33.7  64
40.6  43
48.5  47
54.9  52



3.
Structure and simulated powder diffraction line list of Sr7IrN6 (a crystal structure in the Materials Project, relaxed with GGA-PBE; Cu Kα (weighted mean of Kα1 and Kα2)).
Peak positions follow from Bragg's law for the DFT cell and can differ from measured ones.

Atomic structure:
```
Sr7IrN6
1.0
11.926 0.000 0.000
0.000 6.709 0.000
0.000 0.000 14.152
Sr Ir N
28 4 24
Direct
0.000 0.070 0.250
0.000 0.930 0.750
0.036 0.231 0.517
0.036 0.769 0.017
0.211 0.393 0.117
0.211 0.607 0.617
0.215 0.370 0.873
0.215 0.630 0.373
0.285 0.130 0.373
0.285 0.870 0.873
0.289 0.107 0.617
0.289 0.893 0.117
0.464 0.269 0.017
0.464 0.731 0.517
0.500 0.430 0.750
0.500 0.570 0.250
0.536 0.269 0.483
0.536 0.731 0.983
0.711 0.107 0.883
0.711 0.893 0.383
0.715 0.130 0.127
0.715 0.870 0.627
0.785 0.370 0.627
0.785 0.630 0.127
0.789 0.393 0.383
0.789 0.607 0.883
0.964 0.231 0.983
0.964 0.769 0.483
0.000 0.422 0.750
0.000 0.578 0.250
0.500 0.078 0.250
0.500 0.922 0.750
0.025 0.414 0.362
0.025 0.586 0.862
0.124 0.255 0.703
0.124 0.745 0.203
0.169 0.096 0.992
0.169 0.904 0.492
0.331 0.404 0.492
0.331 0.596 0.992
0.376 0.245 0.203
0.376 0.755 0.703
0.475 0.086 0.862
0.475 0.914 0.362
0.525 0.086 0.638
0.525 0.914 0.138
0.624 0.245 0.297
0.624 0.755 0.797
0.669 0.404 0.008
0.669 0.596 0.508
0.831 0.096 0.508
0.831 0.904 0.008
0.876 0.255 0.797
0.876 0.745 0.297
0.975 0.414 0.138
0.975 0.586 0.638
```

Top 10 peaks for 2θ = 15–90°, low angle first:
two_theta  intensity
15.2  19
28.3  23
29.4  100
29.5  18
30.0  33
33.2  31
33.5  25
33.6  16
42.5  24
51.7  21



4.
Structure and simulated powder diffraction line list of SrIrN2 (a crystal structure in the Materials Project, relaxed with GGA-PBE; Cu Kα (weighted mean of Kα1 and Kα2)).
Peak positions follow from Bragg's law for the DFT cell and can differ from measured ones.

Atomic structure:
```
SrIrN2
1.0
6.101 0.000 0.000
0.000 8.298 0.000
-1.616 0.000 5.045
Sr Ir N
4 4 8
Direct
0.178 0.099 0.347
0.178 0.401 0.847
0.822 0.599 0.153
0.822 0.901 0.653
0.380 0.643 0.460
0.380 0.857 0.960
0.620 0.143 0.040
0.620 0.357 0.540
0.233 0.682 0.071
0.233 0.818 0.571
0.283 0.098 0.901
0.283 0.402 0.401
0.717 0.598 0.599
0.717 0.902 0.099
0.767 0.182 0.429
0.767 0.318 0.929
```

Top 10 peaks for 2θ = 15–90°, low angle first:
two_theta  intensity
15.2  93
20.6  55
22.2  51
27.8  56
28.8  68
29.1  84
32.7  100
34.2  100
34.5  56
37.5  64



5.
Structure and simulated powder diffraction line list of SrIrN2 (a crystal structure in the Materials Project, relaxed with GGA-PBE; Cu Kα (weighted mean of Kα1 and Kα2)).
Peak positions follow from Bragg's law for the DFT cell and can differ from measured ones.

Atomic structure:
```
SrIrN2
1.0
3.931 0.000 0.000
0.000 3.931 0.000
0.000 0.000 7.865
Sr Ir N
2 2 4
Direct
0.250 0.250 0.162
0.750 0.750 0.838
0.250 0.250 0.591
0.750 0.750 0.409
0.250 0.250 0.841
0.250 0.750 0.500
0.750 0.250 0.500
0.750 0.750 0.159
```

Top 10 peaks for 2θ = 15–90°, low angle first:
two_theta  intensity
32.2  100
34.2  9
41.4  17
46.2  20
47.7  6
57.4  32
63.7  12
67.4  9
68.5  8
76.6  12



6.
Structure and simulated powder diffraction line list of Sr5Ir2N6 (a crystal structure in the Materials Project, relaxed with GGA-PBE; Cu Kα (weighted mean of Kα1 and Kα2)).
Peak positions follow from Bragg's law for the DFT cell and can differ from measured ones.

Atomic structure:
```
Sr5Ir2N6
1.0
5.236 -3.594 0.000
5.236 3.594 0.000
-3.045 0.000 12.746
Sr Ir N
10 4 12
Direct
0.122 0.878 0.750
0.183 0.700 0.000
0.224 0.453 0.279
0.300 0.817 0.500
0.453 0.224 0.779
0.547 0.776 0.221
0.700 0.183 0.500
0.776 0.547 0.721
0.817 0.300 0.000
0.878 0.122 0.250
0.200 0.335 0.554
0.335 0.200 0.054
0.665 0.800 0.946
0.800 0.665 0.446
0.099 0.183 0.640
0.183 0.099 0.140
0.195 0.223 0.414
0.223 0.195 0.914
0.403 0.492 0.625
0.492 0.403 0.125
0.508 0.597 0.875
0.597 0.508 0.375
0.777 0.805 0.086
0.805 0.777 0.586
0.817 0.901 0.860
0.901 0.817 0.360
```

Top 10 peaks for 2θ = 15–90°, low angle first:
two_theta  intensity
17.4  69
28.0  50
30.1  80
30.4  75
31.4  94
31.8  54
32.2  100
32.6  98
38.9  70
39.6  53



7.
Structure and simulated powder diffraction line list of Sr3Ir2N4 (a crystal structure in the Materials Project, relaxed with GGA-PBE; Cu Kα (weighted mean of Kα1 and Kα2)).
Peak positions follow from Bragg's law for the DFT cell and can differ from measured ones.

Atomic structure:
```
Sr3Ir2N4
1.0
5.696 -4.682 0.000
5.696 4.682 0.000
-0.249 0.000 5.571
Sr Ir N
6 4 8
Direct
0.093 0.907 0.750
0.226 0.534 0.445
0.466 0.774 0.055
0.534 0.226 0.945
0.774 0.466 0.555
0.907 0.093 0.250
0.118 0.350 0.916
0.350 0.118 0.416
0.650 0.882 0.584
0.882 0.650 0.084
0.104 0.231 0.576
0.214 0.570 0.961
0.231 0.104 0.076
0.430 0.786 0.539
0.570 0.214 0.461
0.769 0.896 0.924
0.786 0.430 0.039
0.896 0.769 0.424
```

Top 10 peaks for 2θ = 15–90°, low angle first:
two_theta  intensity
15.6  86
19.8  20
20.4  21
29.5  83
29.8  100
34.0  24
34.2  51
38.5  39
40.3  45
44.0  26



8.
Structure and simulated powder diffraction line list of Sr10IrN8 (a crystal structure in the Materials Project, relaxed with GGA-PBE; Cu Kα (weighted mean of Kα1 and Kα2)).
Peak positions follow from Bragg's law for the DFT cell and can differ from measured ones.

Atomic structure:
```
Sr10IrN8
1.0
11.111 -2.433 0.000
11.111 2.433 0.000
-2.859 0.000 8.275
Sr Ir N
10 1 8
Direct
0.029 0.029 0.340
0.198 0.198 0.034
0.205 0.205 0.608
0.358 0.358 0.764
0.402 0.402 0.249
0.598 0.598 0.751
0.642 0.642 0.236
0.795 0.795 0.392
0.802 0.802 0.966
0.971 0.971 0.660
0.500 0.500 0.000
0.090 0.090 0.636
0.192 0.192 0.322
0.309 0.309 0.986
0.483 0.483 0.785
0.517 0.517 0.215
0.691 0.691 0.014
0.808 0.808 0.678
0.910 0.910 0.364
```

Top 10 peaks for 2θ = 15–90°, low angle first:
two_theta  intensity
20.9  39
26.5  28
28.0  100
31.3  19
31.6  28
32.2  20
32.6  20
35.1  24
36.9  43
49.4  37